1.
Theoretical powder diffractogram of ThMg8Cd4 for λ = 1.5418 Å (Cu Kα), from a GGA-PBE-relaxed structure.
Lines closer than 0.1° are merged.

Principal peaks in the range 10 to 90 degrees two-theta, most intense first:
2.537 Å, intensity 100, (2 0 2); 3.546 Å, intensity 72, (2 2 0); 2.508 Å, intensity 55, (4 0 0); 1.783 Å, intensity 49, (4 2 2); 2.515 Å, intensity 42, (3 2 1); 3.567 Å, intensity 41, (2 1 1); 7.092 Å, intensity 37, (1 1 0); 5.074 Å, intensity 33, (1 0 1)

Cell and atoms:
a = 10.030 Å, b = 10.030 Å, c = 5.882 Å
α = 90.00°, β = 90.00°, γ = 90.00°
Space group I4/mmm (No. 139)
Inequivalent atoms, fractional coordinates:
Th (0.000, 0.000, 0.000) x2
Mg (0.000, 0.212, 0.500) x8
Mg (0.000, 0.350, 0.000) x8
Cd (0.250, 0.250, 0.250) x8

***

2.
Theoretical powder diffractogram of Pm5Th2Mg for λ = 1.5418 Å (Cu Kα), from a GGA-PBE-relaxed structure.
Lines closer than 0.1° are merged.

Principal peaks in the range 10 to 90 degrees two-theta, most intense first:
2.927 Å, intensity 100, (2 0 1); 2.563 Å, intensity 35, (0 4 1); 1.541 Å, intensity 28, (2 4 2); 1.782 Å, intensity 22, (4 4 1); 2.479 Å, intensity 15, (4 0 0); 1.504 Å, intensity 12, (6 0 1); 7.241 Å, intensity 11, (0 2 0); 1.157 Å, intensity 10, (6 4 2)

Cell and atoms:
a = 9.917 Å, b = 14.483 Å, c = 3.630 Å
α = 90.00°, β = 90.00°, γ = 90.00°
Space group Cmmm (No. 65)
Inequivalent atoms, fractional coordinates:
Pm (0.000, 0.000, 0.000) x2
Pm (0.236, 0.374, 0.500) x8
Th (0.000, 0.240, 0.000) x4
Mg (0.000, 0.500, 0.000) x2

***

3.
Theoretical powder diffractogram of Sm2Ag4Te5 for λ = 1.5418 Å (Cu Kα), from a GGA-PBE-relaxed structure.
Lines closer than 0.1° are merged.

Principal peaks in the range 10 to 90 degrees two-theta, most intense first:
2.253 Å, intensity 100, (1 1 0); 3.122 Å, intensity 97, (0 1 11); 2.165 Å, intensity 70, (1 0 22); 3.425 Å, intensity 31, (0 1 8); 3.893 Å, intensity 28, (1 0 1); 1.283 Å, intensity 25, (2 1 22); 1.561 Å, intensity 24, (0 2 22); 3.764 Å, intensity 23, (1 0 4)

Cell and atoms:
a = 4.5052 Å, b = 4.5052 Å, c = 57.2446 Å
α = 90.00°, β = 90.00°, γ = 120.00°
Space group R-3m (No. 166, hexagonal axes)
Inequivalent atoms, fractional coordinates:
Sm (0.0000, 0.0000, 0.1349) x6
Ag (0.0000, 0.0000, 0.3153) x6
Ag (0.0000, 0.0000, 0.4153) x6
Te (0.0000, 0.0000, 0.2300) x6
Te (0.0000, 0.0000, 0.3675) x6
Te (0.0000, 0.0000, 0.5000) x3